(1)
# LiCa2SmSe4
Calculated X-ray diffraction stick pattern, Cu Kα X-rays. Input: DFT lattice parameters and positions (PBE).
Kinematic intensities with the Lorentz-polarization factor, no thermal factor.

Principal peaks in the range 2θ = 5–70°, sorted by position:
13.06°, d 6.780, I 30
15.18°, d 5.837, I 17
30.20°, d 2.960, I 100
30.63°, d 2.918, I 48
43.12°, d 2.098, I 18
43.41°, d 2.085, I 54
43.67°, d 2.073, I 35
53.81°, d 1.704, I 28

Structure:
```
data_LiCa2SmSe4
_symmetry_space_group_name_H-M 'P 1 2/m 1'
_symmetry_Int_Tables_number 10
_symmetry_space_group_name_Hall '-P 2y'
_cell_length_a 7.153
_cell_length_b 4.196
_cell_length_c 7.200
_cell_angle_alpha 90.00
_cell_angle_beta 108.84
_cell_angle_gamma 90.00
loop_
_atom_site_label
_atom_site_type_symbol
_atom_site_fract_x
_atom_site_fract_y
_atom_site_fract_z
Li1 Li 0.000 0.000 0.000
Ca1 Ca 0.000 0.500 0.500
Ca2 Ca 0.500 0.000 0.500
Sm1 Sm 0.500 0.500 0.000
Se1 Se 0.248 0.000 0.757
Se2 Se 0.249 0.500 0.246
```

(2)
# LiCa3Si2
Calculated X-ray diffraction stick pattern, Cu Kα X-rays. Input: DFT lattice parameters and positions (PBE).
Kinematic intensities with the Lorentz-polarization factor, no thermal factor.

Principal peaks in the range 2θ = 5–70°, sorted by position:
27.98°, d 3.189, I 34
29.04°, d 3.075, I 23
29.43°, d 3.035, I 40
29.49°, d 3.029, I 45
33.45°, d 2.679, I 100
37.70°, d 2.386, I 29
39.47°, d 2.283, I 32
44.64°, d 2.030, I 36

Structure:
```
data_LiCa3Si2
_symmetry_space_group_name_H-M 'P 1 21/m 1'
_symmetry_Int_Tables_number 11
_symmetry_space_group_name_Hall '-P 2yb'
_cell_length_a 4.062
_cell_length_b 9.880
_cell_length_c 7.986
_cell_angle_alpha 90.00
_cell_angle_beta 104.73
_cell_angle_gamma 90.00
loop_
_atom_site_label
_atom_site_type_symbol
_atom_site_fract_x
_atom_site_fract_y
_atom_site_fract_z
Li1 Li 0.070 0.250 0.140
Ca1 Ca 0.119 0.750 0.236
Ca2 Ca 0.349 0.549 0.700
Si1 Si 0.000 0.000 0.000
Si2 Si 0.241 0.250 0.481
```

(3)
# LiCaSi2
Calculated X-ray diffraction stick pattern, Cu Kα X-rays. Input: DFT lattice parameters and positions (PBE).
Kinematic intensities with the Lorentz-polarization factor, no thermal factor.

Principal peaks in the range 2θ = 5–70°, sorted by position:
15.92°, d 5.568, I 46
25.93°, d 3.437, I 62
29.47°, d 3.031, I 69
32.15°, d 2.784, I 55
33.70°, d 2.659, I 100
34.65°, d 2.589, I 80
42.40°, d 2.132, I 45
46.95°, d 1.935, I 41

Structure:
```
data_LiCaSi2
_symmetry_space_group_name_H-M 'P n m a'
_symmetry_Int_Tables_number 62
_symmetry_space_group_name_Hall '-P 2ac 2n'
_cell_length_a 6.804
_cell_length_b 4.264
_cell_length_c 11.136
_cell_angle_alpha 90.00
_cell_angle_beta 90.00
_cell_angle_gamma 90.00
loop_
_atom_site_label
_atom_site_type_symbol
_atom_site_fract_x
_atom_site_fract_y
_atom_site_fract_z
Li1 Li 0.129 0.250 0.057
Ca1 Ca 0.139 0.250 0.355
Si1 Si 0.033 0.250 0.833
Si2 Si 0.189 0.250 0.644
```

(4)
# Li2CaSm2Sn2
Calculated X-ray diffraction stick pattern, Cu Kα X-rays. Input: DFT lattice parameters and positions (PBE).
Kinematic intensities with the Lorentz-polarization factor, no thermal factor.

Principal peaks in the range 2θ = 5–70°, sorted by position:
9.55°, d 9.262, I 37
21.39°, d 4.154, I 52
22.10°, d 4.021, I 39
30.99°, d 2.885, I 57
33.48°, d 2.677, I 100
37.06°, d 2.426, I 86
50.80°, d 1.797, I 31
64.53°, d 1.444, I 30

Structure:
```
data_Li2CaSm2Sn2
_symmetry_space_group_name_H-M 'R -3 m'
_symmetry_Int_Tables_number 166
_symmetry_space_group_name_Hall '-R 3 2"'
_cell_length_a 4.8511
_cell_length_b 4.8511
_cell_length_c 27.7860
_cell_angle_alpha 90.00
_cell_angle_beta 90.00
_cell_angle_gamma 120.00
loop_
_atom_site_label
_atom_site_type_symbol
_atom_site_fract_x
_atom_site_fract_y
_atom_site_fract_z
Li1 Li 0.0000 0.0000 0.0970
Ca1 Ca 0.0000 0.0000 0.5000
Sm1 Sm 0.0000 0.0000 0.3711
Sn1 Sn 0.0000 0.0000 0.2413
```

(5)
# Li8CaSn7
Calculated X-ray diffraction stick pattern, Cu Kα X-rays. Input: DFT lattice parameters and positions (PBE).
Kinematic intensities with the Lorentz-polarization factor, no thermal factor.

Principal peaks in the range 2θ = 5–70°, sorted by position:
19.37°, d 4.582, I 41
23.97°, d 3.712, I 74
25.55°, d 3.487, I 37
26.74°, d 3.334, I 100
34.66°, d 2.588, I 35
36.39°, d 2.469, I 32
38.67°, d 2.328, I 97
41.60°, d 2.171, I 37

Structure:
```
data_Li8CaSn7
_symmetry_space_group_name_H-M 'C m c m'
_symmetry_Int_Tables_number 63
_symmetry_space_group_name_Hall '-C 2c 2'
_cell_length_a 4.654
_cell_length_b 26.212
_cell_length_c 11.611
_cell_angle_alpha 90.00
_cell_angle_beta 90.00
_cell_angle_gamma 90.00
loop_
_atom_site_label
_atom_site_type_symbol
_atom_site_fract_x
_atom_site_fract_y
_atom_site_fract_z
Li1 Li 0.000 0.000 0.000
Li2 Li 0.000 0.024 0.250
Li3 Li 0.000 0.118 0.523
Li4 Li 0.000 0.241 0.091
Li5 Li 0.000 0.453 0.121
Ca1 Ca 0.000 0.142 0.250
Sn1 Sn 0.000 0.081 0.750
Sn2 Sn 0.000 0.255 0.750
Sn3 Sn 0.000 0.326 0.551
Sn4 Sn 0.000 0.342 0.250
Sn5 Sn 0.000 0.434 0.622
```

(6)
# Li2Ca4Sn5
Calculated X-ray diffraction stick pattern, Cu Kα X-rays. Input: DFT lattice parameters and positions (PBE).
Kinematic intensities with the Lorentz-polarization factor, no thermal factor.

Principal peaks in the range 2θ = 5–70°, sorted by position:
19.79°, d 4.485, I 100
24.26°, d 3.669, I 38
29.69°, d 3.009, I 44
31.36°, d 2.853, I 39
31.84°, d 2.811, I 71
32.47°, d 2.757, I 58
40.67°, d 2.218, I 35
41.23°, d 2.190, I 62

Structure:
```
data_Li2Ca4Sn5
_symmetry_space_group_name_H-M 'I b a m'
_symmetry_Int_Tables_number 72
_symmetry_space_group_name_Hall '-I 2 2c'
_cell_length_a 10.076
_cell_length_b 19.699
_cell_length_c 6.018
_cell_angle_alpha 90.00
_cell_angle_beta 90.00
_cell_angle_gamma 90.00
loop_
_atom_site_label
_atom_site_type_symbol
_atom_site_fract_x
_atom_site_fract_y
_atom_site_fract_z
Li1 Li 0.000 0.195 0.250
Ca1 Ca 0.112 0.360 0.000
Ca2 Ca 0.246 0.063 0.000
Sn1 Sn 0.000 0.500 0.250
Sn2 Sn 0.070 0.071 0.500
Sn3 Sn 0.207 0.274 0.500
```

(7)
# Li9CaSn2
Calculated X-ray diffraction stick pattern, Cu Kα X-rays. Input: DFT lattice parameters and positions (PBE).
Kinematic intensities with the Lorentz-polarization factor, no thermal factor.

Principal peaks in the range 2θ = 5–70°, sorted by position:
10.82°, d 8.180, I 63
17.79°, d 4.985, I 100
22.70°, d 3.918, I 54
30.41°, d 2.939, I 66
30.97°, d 2.888, I 46
32.36°, d 2.766, I 28
34.12°, d 2.628, I 43
35.45°, d 2.532, I 25

Structure:
```
data_Li9CaSn2
_symmetry_space_group_name_H-M 'R -3 m'
_symmetry_Int_Tables_number 166
_symmetry_space_group_name_Hall '-R 3 2"'
_cell_length_a 5.8790
_cell_length_b 5.8790
_cell_length_c 24.5412
_cell_angle_alpha 90.00
_cell_angle_beta 90.00
_cell_angle_gamma 120.00
loop_
_atom_site_label
_atom_site_type_symbol
_atom_site_fract_x
_atom_site_fract_y
_atom_site_fract_z
Li1 Li 0.0000 0.0000 0.0000
Li2 Li 0.0000 0.0000 0.1567
Li3 Li 0.0297 0.5149 0.4040
Ca1 Ca 0.0000 0.0000 0.5000
Sn1 Sn 0.0000 0.0000 0.3673
```

(8)
# LiCa2Sn9
Calculated X-ray diffraction stick pattern, Cu Kα X-rays. Input: DFT lattice parameters and positions (PBE).
Kinematic intensities with the Lorentz-polarization factor, no thermal factor.

Principal peaks in the range 2θ = 5–70°, sorted by position:
26.72°, d 3.337, I 13
32.87°, d 2.725, I 100
37.96°, d 2.370, I 17
38.23°, d 2.354, I 34
54.97°, d 1.670, I 23
65.37°, d 1.428, I 13
65.74°, d 1.421, I 28
68.93°, d 1.362, I 12

Structure:
```
data_LiCa2Sn9
_symmetry_space_group_name_H-M 'P 4/m m m'
_symmetry_Int_Tables_number 123
_symmetry_space_group_name_Hall '-P 4 2'
_cell_length_a 4.708
_cell_length_b 4.708
_cell_length_c 14.223
_cell_angle_alpha 90.00
_cell_angle_beta 90.00
_cell_angle_gamma 90.00
loop_
_atom_site_label
_atom_site_type_symbol
_atom_site_fract_x
_atom_site_fract_y
_atom_site_fract_z
Li1 Li 0.000 0.000 0.000
Ca1 Ca 0.000 0.000 0.335
Sn1 Sn 0.000 0.500 0.160
Sn2 Sn 0.000 0.500 0.500
Sn3 Sn 0.500 0.500 0.000
Sn4 Sn 0.500 0.500 0.329
```

(9)
# LiCa2Sn3
Calculated X-ray diffraction stick pattern, Cu Kα X-rays. Input: DFT lattice parameters and positions (PBE).
Kinematic intensities with the Lorentz-polarization factor, no thermal factor.

Principal peaks in the range 2θ = 5–70°, sorted by position:
15.90°, d 5.574, I 48
20.91°, d 4.249, I 56
23.56°, d 3.777, I 47
29.27°, d 3.051, I 78
32.18°, d 2.782, I 95
35.63°, d 2.520, I 100
37.13°, d 2.422, I 58
44.41°, d 2.040, I 49

Structure:
```
data_LiCa2Sn3
_symmetry_space_group_name_H-M 'C 1 m 1'
_symmetry_Int_Tables_number 8
_symmetry_space_group_name_Hall 'C -2y'
_cell_length_a 11.289
_cell_length_b 4.843
_cell_length_c 7.569
_cell_angle_alpha 90.00
_cell_angle_beta 128.37
_cell_angle_gamma 90.00
loop_
_atom_site_label
_atom_site_type_symbol
_atom_site_fract_x
_atom_site_fract_y
_atom_site_fract_z
Li1 Li 0.000 0.000 0.000
Ca1 Ca 0.276 0.000 0.602
Ca2 Ca 0.378 0.000 0.217
Sn1 Sn 0.152 0.500 0.190
Sn2 Sn 0.186 0.500 0.822
Sn3 Sn 0.482 0.500 0.599
```

(10)
# SrLi10Ca
Calculated X-ray diffraction stick pattern, Cu Kα X-rays. Input: DFT lattice parameters and positions (PBE).
Kinematic intensities with the Lorentz-polarization factor, no thermal factor.

Principal peaks in the range 2θ = 5–70°, sorted by position:
16.61°, d 5.338, I 97
19.18°, d 4.628, I 28
25.47°, d 3.497, I 100
28.97°, d 3.082, I 42
33.58°, d 2.669, I 32
34.98°, d 2.565, I 65
38.94°, d 2.313, I 25
49.26°, d 1.850, I 49

Structure:
```
data_SrLi10Ca
_symmetry_space_group_name_H-M 'P m m m'
_symmetry_Int_Tables_number 47
_symmetry_space_group_name_Hall '-P 2 2'
_cell_length_a 4.628
_cell_length_b 6.169
_cell_length_c 10.669
_cell_angle_alpha 90.00
_cell_angle_beta 90.00
_cell_angle_gamma 90.00
loop_
_atom_site_label
_atom_site_type_symbol
_atom_site_fract_x
_atom_site_fract_y
_atom_site_fract_z
Sr1 Sr 0.000 0.000 0.000
Li1 Li 0.000 0.000 0.339
Li2 Li 0.000 0.500 0.173
Li3 Li 0.500 0.000 0.500
Li4 Li 0.500 0.255 0.259
Li5 Li 0.500 0.500 0.000
Ca1 Ca 0.000 0.500 0.500
```

(11)
# SrLi2Ca10
Calculated X-ray diffraction stick pattern, Cu Kα X-rays. Input: DFT lattice parameters and positions (PBE).
Kinematic intensities with the Lorentz-polarization factor, no thermal factor.

Principal peaks in the range 2θ = 5–70°, sorted by position:
22.67°, d 3.923, I 33
25.00°, d 3.561, I 38
25.13°, d 3.544, I 37
25.69°, d 3.468, I 41
28.78°, d 3.102, I 61
28.91°, d 3.088, I 100
29.04°, d 3.075, I 57
29.44°, d 3.034, I 32

Structure:
```
data_SrLi2Ca10
_symmetry_space_group_name_H-M 'P -1'
_symmetry_Int_Tables_number 2
_symmetry_space_group_name_Hall '-P 1'
_cell_length_a 6.936
_cell_length_b 9.405
_cell_length_c 9.435
_cell_angle_alpha 82.45
_cell_angle_beta 68.54
_cell_angle_gamma 68.81
loop_
_atom_site_label
_atom_site_type_symbol
_atom_site_fract_x
_atom_site_fract_y
_atom_site_fract_z
Sr1 Sr 0.000 0.000 0.000
Li1 Li 0.000 0.000 0.500
Li2 Li 0.500 0.000 0.500
Ca1 Ca 0.000 0.500 0.000
Ca2 Ca 0.009 0.343 0.639
Ca3 Ca 0.284 0.207 0.223
Ca4 Ca 0.351 0.657 0.639
Ca5 Ca 0.492 0.793 0.224
Ca6 Ca 0.500 0.500 0.000
```

(12)
# SrLiCa
Calculated X-ray diffraction stick pattern, Cu Kα X-rays. Input: DFT lattice parameters and positions (PBE).
Kinematic intensities with the Lorentz-polarization factor, no thermal factor.

Principal peaks in the range 2θ = 5–70°, sorted by position:
21.28°, d 4.176, I 53
23.95°, d 3.716, I 64
26.34°, d 3.383, I 100
26.77°, d 3.330, I 82
27.48°, d 3.245, I 88
32.12°, d 2.787, I 86
43.94°, d 2.061, I 69
50.61°, d 1.804, I 31

Structure:
```
data_SrLiCa
_symmetry_space_group_name_H-M 'I m m m'
_symmetry_Int_Tables_number 71
_symmetry_space_group_name_Hall '-I 2 2'
_cell_length_a 4.264
_cell_length_b 7.580
_cell_length_c 15.011
_cell_angle_alpha 90.00
_cell_angle_beta 90.00
_cell_angle_gamma 90.00
loop_
_atom_site_label
_atom_site_type_symbol
_atom_site_fract_x
_atom_site_fract_y
_atom_site_fract_z
Sr1 Sr 0.000 0.000 0.203
Li1 Li 0.000 0.500 0.112
Ca1 Ca 0.000 0.254 0.500
```